[1]
Simulated powder diffraction line list
Compound: LaPrGd2Zn12Ge6
Radiation: Cu Kα (weighted mean of Kα1 and Kα2)
Structure: a cell relaxed with PBE
Intensities are scaled so that the largest is 100.

Structure:
```
LaPrGd2Zn12Ge6
1.0
7.6594 0.0000 0.0000
0.0000 4.0852 0.0000
-0.0025 0.0000 13.2663
La Pr Gd Zn Ge
1 1 2 12 6
Direct
0.0000 0.0000 0.0000
0.9995 0.0000 0.3357
0.5004 0.0000 0.5016
0.5007 0.0000 0.8326
0.1437 0.5000 0.5248
0.1444 0.5000 0.8097
0.1898 0.0000 0.6677
0.2152 0.5000 0.1680
0.4059 0.0000 0.2630
0.4100 0.0000 0.0713
0.6429 0.5000 0.3122
0.6436 0.5000 0.0231
0.6896 0.0000 0.1689
0.7106 0.5000 0.6670
0.9018 0.0000 0.7608
0.9032 0.0000 0.5730
0.3115 0.5000 0.3619
0.3125 0.5000 0.9735
0.3851 0.5000 0.6671
0.8036 0.5000 0.4770
0.8039 0.5000 0.8573
0.8832 0.5000 0.1681
```

Most intense lines, 10 to 80 degrees two-theta, by angle:
2θ = 32.0°, rel. 100, (2 1 0); 2θ = 34.8°, rel. 15, (0 1 4); 2θ = 35.8°, rel. 23, (2 0 -4); 2θ = 40.8°, rel. 32, (3 0 3); 2θ = 42.3°, rel. 53, (3 1 1); 2θ = 44.3°, rel. 24, (0 2 0); 2θ = 49.5°, rel. 13, (1 0 7); 2θ = 52.8°, rel. 14, (4 1 0); 2θ = 61.8°, rel. 18, (3 2 3); 2θ = 68.8°, rel. 21, (4 1 6)

[2]
Simulated powder diffraction line list
Compound: LaPrGd2Zn12Ge6
Radiation: Cu Kα (weighted mean of Kα1 and Kα2)
Structure: a cell relaxed with PBE
Intensities are scaled so that the largest is 100.

Structure:
```
LaPrGd2Zn12Ge6
1.0
7.6555 0.0000 0.0000
0.0000 4.0855 0.0000
-0.0003 0.0000 13.2633
La Pr Gd Zn Ge
1 1 2 12 6
Direct
0.0000 0.0000 0.0000
0.4999 0.0000 0.4999
0.9995 0.0000 0.3339
0.5002 0.0000 0.8326
0.1421 0.5000 0.8100
0.1451 0.5000 0.5240
0.1896 0.0000 0.6694
0.2140 0.5000 0.1659
0.4000 0.0000 0.2601
0.4122 0.0000 0.0697
0.6408 0.5000 0.3111
0.6451 0.5000 0.0237
0.6900 0.0000 0.1708
0.7127 0.5000 0.6649
0.8996 0.0000 0.7594
0.9087 0.0000 0.5701
0.3025 0.5000 0.3578
0.3128 0.5000 0.9728
0.3848 0.5000 0.6693
0.8031 0.5000 0.8568
0.8120 0.5000 0.4726
0.8846 0.5000 0.1702
```

Most intense lines, 10 to 80 degrees two-theta, by angle:
2θ = 32.0°, rel. 100, (2 1 0); 2θ = 34.9°, rel. 15, (0 1 4); 2θ = 35.8°, rel. 23, (3 0 1); 2θ = 40.8°, rel. 32, (3 0 3); 2θ = 42.3°, rel. 54, (3 1 1); 2θ = 44.3°, rel. 24, (0 2 0); 2θ = 49.6°, rel. 13, (3 0 -5); 2θ = 52.8°, rel. 14, (4 1 0); 2θ = 61.8°, rel. 18, (3 2 3); 2θ = 68.8°, rel. 21, (4 1 6)

[3]
Simulated powder diffraction line list
Compound: La2PrGdZn12Ge6
Radiation: Cu Kα (weighted mean of Kα1 and Kα2)
Structure: a cell relaxed with PBE
Intensities are scaled so that the largest is 100.

Structure:
```
La2PrGdZn12Ge6
1.0
7.6916 0.0000 0.0000
0.0000 4.1156 0.0000
-0.0008 0.0000 13.3211
La Pr Gd Zn Ge
2 1 1 12 6
Direct
0.0000 0.0000 0.0000
0.4998 0.0000 0.1689
0.4989 0.0000 0.5032
0.9993 0.0000 0.6675
0.1428 0.5000 0.4800
0.1439 0.5000 0.1912
0.1883 0.0000 0.3361
0.2105 0.5000 0.8333
0.4006 0.0000 0.7403
0.4075 0.0000 0.9287
0.6422 0.5000 0.6902
0.6451 0.5000 0.9775
0.6887 0.0000 0.8317
0.7120 0.5000 0.3371
0.9054 0.0000 0.4311
0.9064 0.0000 0.2413
0.3032 0.5000 0.6442
0.3098 0.5000 0.0244
0.3809 0.5000 0.3361
0.8098 0.5000 0.1450
0.8111 0.5000 0.5286
0.8822 0.5000 0.8310
```

Most intense lines, 10 to 80 degrees two-theta, by angle:
2θ = 31.8°, rel. 100, (2 1 0); 2θ = 34.6°, rel. 14, (2 1 -2); 2θ = 35.7°, rel. 22, (1 0 -5); 2θ = 40.6°, rel. 33, (3 0 3); 2θ = 42.1°, rel. 53, (3 1 -1); 2θ = 44.0°, rel. 24, (0 2 0); 2θ = 49.3°, rel. 13, (4 0 2); 2θ = 52.5°, rel. 14, (4 1 0); 2θ = 61.4°, rel. 19, (3 2 3); 2θ = 68.5°, rel. 21, (5 1 3)

[4]
Simulated powder diffraction line list
Compound: LaGdZn6Ge3
Radiation: Cu Kα (weighted mean of Kα1 and Kα2)
Structure: a cell relaxed with PBE
Intensities are scaled so that the largest is 100.

Structure:
```
LaGdZn6Ge3
1.0
7.6720 0.0000 0.0000
-3.8360 6.6441 0.0000
0.0000 0.0000 4.0990
La Gd Zn Ge
1 1 6 3
Direct
0.0000 0.0000 0.0000
0.6667 0.3333 0.0000
0.0478 0.6691 0.5000
0.1389 0.4820 0.0000
0.3309 0.3787 0.5000
0.3431 0.8611 0.0000
0.5180 0.6569 0.0000
0.6213 0.9522 0.5000
0.3400 0.0541 0.5000
0.7142 0.6600 0.5000
0.9459 0.2858 0.5000
```

Most intense lines, 10 to 80 degrees two-theta, by angle:
2θ = 32.0°, rel. 100, (1 1 1); 2θ = 34.8°, rel. 15, (2 0 1); 2θ = 35.8°, rel. 23, (2 1 0); 2θ = 40.7°, rel. 32, (3 0 0); 2θ = 42.2°, rel. 54, (2 1 1); 2θ = 44.2°, rel. 24, (0 0 2); 2θ = 49.5°, rel. 13, (3 1 0); 2θ = 52.7°, rel. 14, (2 2 1); 2θ = 61.7°, rel. 18, (3 0 2); 2θ = 68.7°, rel. 21, (1 4 1)

[5]
Simulated powder diffraction line list
Compound: LaGdZn6Ge3
Radiation: Cu Kα (weighted mean of Kα1 and Kα2)
Structure: a cell relaxed with PBE
Intensities are scaled so that the largest is 100.

Structure:
```
LaGdZn6Ge3
1.0
4.0916 0.0000 0.0000
0.0000 13.2800 0.0000
0.0000 0.0000 7.6718
La Gd Zn Ge
2 2 12 6
Direct
0.0000 0.0852 0.0000
0.0000 0.9148 0.5000
0.0000 0.4186 0.9987
0.0000 0.5814 0.4987
0.0000 0.1565 0.4084
0.0000 0.2543 0.6891
0.0000 0.3462 0.4008
0.0000 0.6538 0.9008
0.0000 0.7457 0.1891
0.0000 0.8435 0.9084
0.5000 0.1081 0.6452
0.5000 0.2530 0.2126
0.5000 0.3947 0.6394
0.5000 0.6053 0.1394
0.5000 0.7470 0.7126
0.5000 0.8919 0.1452
0.5000 0.0601 0.3099
0.5000 0.2549 0.8836
0.5000 0.4439 0.3049
0.5000 0.5561 0.8049
0.5000 0.7451 0.3836
0.5000 0.9399 0.8099
```

Most intense lines, 10 to 80 degrees two-theta, by angle:
2θ = 32.0°, rel. 100, (1 3 1); 2θ = 34.8°, rel. 15, (1 2 2); 2θ = 35.8°, rel. 23, (0 5 1); 2θ = 40.8°, rel. 32, (0 3 3); 2θ = 42.2°, rel. 54, (1 5 1); 2θ = 44.3°, rel. 24, (2 0 0); 2θ = 49.5°, rel. 13, (0 5 3); 2θ = 52.7°, rel. 14, (1 0 4); 2θ = 61.7°, rel. 18, (2 3 3); 2θ = 68.7°, rel. 21, (1 6 4)

[6]
Simulated powder diffraction line list
Compound: LaGdZn6Ge3
Radiation: Cu Kα (weighted mean of Kα1 and Kα2)
Structure: a cell relaxed with PBE
Intensities are scaled so that the largest is 100.

Structure:
```
LaGdZn6Ge3
1.0
4.0936 0.0000 0.0000
0.0000 13.2826 0.0000
0.0000 0.0000 7.6709
La Gd Zn Ge
2 2 12 6
Direct
0.0000 0.1679 0.0000
0.0000 0.8321 0.0000
0.0000 0.3346 0.4986
0.0000 0.6654 0.4986
0.0000 0.0000 0.3104
0.0000 0.0959 0.5910
0.0000 0.4064 0.0974
0.0000 0.5000 0.8097
0.0000 0.5936 0.0974
0.0000 0.9041 0.5910
0.5000 0.0000 0.7851
0.5000 0.1454 0.3564
0.5000 0.3572 0.8542
0.5000 0.5000 0.2902
0.5000 0.6428 0.8542
0.5000 0.8546 0.3564
0.5000 0.0000 0.1182
0.5000 0.1937 0.6871
0.5000 0.3103 0.1951
0.5000 0.5000 0.6149
0.5000 0.6897 0.1951
0.5000 0.8063 0.6871
```

Most intense lines, 10 to 80 degrees two-theta, by angle:
2θ = 32.0°, rel. 100, (1 0 2); 2θ = 34.8°, rel. 14, (1 4 0); 2θ = 35.8°, rel. 22, (0 4 2); 2θ = 40.8°, rel. 32, (0 6 0); 2θ = 42.2°, rel. 53, (1 4 2); 2θ = 44.3°, rel. 24, (2 0 0); 2θ = 49.5°, rel. 13, (0 7 1); 2θ = 52.7°, rel. 14, (1 6 2); 2θ = 61.7°, rel. 19, (2 6 0); 2θ = 68.7°, rel. 21, (1 9 1)